Entry 1:
For Li2Co3O6, a crystal structure in the Materials Project, relaxed with PBE+U gives the theoretical powder XRD pattern in this record (λ = 1.5418 Å (Cu Kα)).
Neutral-atom scattering factors, no anomalous dispersion.

The 10 most intense peaks (2θ = 10–90°), most intense first:
Position (°2θ)	I (rel.)
18.56	100
44.91	54
37.36	33
66.30	15
58.84	14
64.48	14
38.96	11
48.99	10
69.49	8
84.19	5

Structure:
```
Li2Co3O6
1.0
2.444 -4.226 0.000
2.444 4.226 0.000
-1.634 0.000 4.780
Li Co O
2 3 6
Direct
0.166 0.834 0.000
0.834 0.166 0.000
0.000 0.000 0.500
0.335 0.665 0.500
0.665 0.335 0.500
0.063 0.403 0.706
0.258 0.258 0.291
0.403 0.063 0.706
0.597 0.937 0.294
0.742 0.742 0.709
0.937 0.597 0.294
```



Entry 2:
For Li2CoO3, a crystal structure in the Materials Project, relaxed with PBE+U gives the theoretical powder XRD pattern in this record (λ = 1.5418 Å (Cu Kα)).
Neutral-atom scattering factors, no anomalous dispersion.

The 10 most intense peaks (2θ = 10–90°), most intense first:
Position (°2θ)	I (rel.)
18.56	100
43.61	72
21.37	41
44.76	31
36.00	28
24.18	27
20.13	17
63.90	17
64.65	17
27.52	14

Structure:
```
Li2CoO3
1.0
2.482 -4.411 0.000
2.482 4.411 0.000
-1.576 0.000 4.780
Li Co O
4 2 6
Direct
0.000 0.000 0.000
0.165 0.835 0.500
0.495 0.505 0.500
0.838 0.162 0.500
0.337 0.663 0.000
0.662 0.338 0.000
0.102 0.447 0.225
0.271 0.287 0.767
0.431 0.068 0.227
0.553 0.898 0.775
0.713 0.729 0.233
0.932 0.569 0.773
```



Entry 3:
For LiCo2O4, a crystal structure in the Materials Project, relaxed with PBE+U gives the theoretical powder XRD pattern in this record (λ = 1.5418 Å (Cu Kα)).
Neutral-atom scattering factors, no anomalous dispersion.

The 10 most intense peaks (2θ = 10–90°), most intense first:
Position (°2θ)	I (rel.)
18.08	100
35.89	20
37.60	17
43.17	17
47.50	15
64.83	10
62.56	9
44.49	9
47.72	9
56.65	8

Structure:
```
LiCo2O4
1.0
9.838 -1.478 0.000
9.838 1.478 0.000
-0.341 0.000 4.928
Li Co O
2 4 8
Direct
0.125 0.125 0.202
0.875 0.875 0.798
0.000 0.000 0.500
0.261 0.261 0.255
0.500 0.500 0.000
0.739 0.739 0.745
0.049 0.049 0.861
0.196 0.196 0.532
0.303 0.303 0.936
0.447 0.447 0.674
0.553 0.553 0.326
0.697 0.697 0.064
0.804 0.804 0.468
0.951 0.951 0.139
```



Entry 4:
For Li5Co4O8, a crystal structure in the Materials Project, relaxed with PBE+U gives the theoretical powder XRD pattern in this record (λ = 1.5418 Å (Cu Kα)).
Neutral-atom scattering factors, no anomalous dispersion.

The 10 most intense peaks (2θ = 10–90°), most intense first:
Position (°2θ)	I (rel.)
20.04	100
46.17	98
18.61	70
37.15	64
36.36	57
64.50	49
61.09	46
40.72	35
53.05	34
33.39	32

Structure:
```
Li5Co4O8
1.0
5.779 0.000 0.000
-2.889 5.005 0.000
0.000 0.000 9.537
Li Co O
10 8 16
Direct
0.000 0.000 0.000
0.000 0.000 0.500
0.191 0.383 0.077
0.191 0.809 0.077
0.333 0.667 0.298
0.383 0.191 0.577
0.617 0.809 0.077
0.667 0.333 0.798
0.809 0.191 0.577
0.809 0.617 0.577
0.170 0.340 0.806
0.170 0.830 0.806
0.333 0.667 0.548
0.340 0.170 0.306
0.660 0.830 0.806
0.667 0.333 0.048
0.830 0.170 0.306
0.830 0.660 0.306
0.000 0.000 0.199
0.000 0.000 0.699
0.014 0.507 0.692
0.159 0.317 0.419
0.159 0.841 0.419
0.317 0.159 0.919
0.333 0.667 0.915
0.493 0.507 0.692
0.493 0.986 0.692
0.507 0.014 0.192
0.507 0.493 0.192
0.667 0.333 0.415
0.683 0.841 0.419
0.841 0.159 0.919
0.841 0.683 0.919
0.986 0.493 0.192
```



Entry 5:
For Li2Co3O6, a crystal structure in the Materials Project, relaxed with PBE+U gives the theoretical powder XRD pattern in this record (λ = 1.5418 Å (Cu Kα)).
Neutral-atom scattering factors, no anomalous dispersion.

The 10 most intense peaks (2θ = 10–90°), most intense first:
Position (°2θ)	I (rel.)
18.26	100
38.04	35
46.59	26
41.43	19
66.40	14
46.69	13
60.92	12
69.50	10
53.19	8
36.86	6

Structure:
```
Li2Co3O6
1.0
4.223 -2.439 0.000
4.223 2.439 0.000
-2.845 0.000 9.716
Li Co O
4 6 12
Direct
0.084 0.916 0.500
0.581 0.750 0.000
0.750 0.581 0.500
0.916 0.084 0.000
0.167 0.332 0.750
0.332 0.167 0.250
0.496 0.662 0.741
0.662 0.496 0.241
0.828 0.998 0.742
0.998 0.828 0.242
0.027 0.198 0.347
0.123 0.626 0.641
0.198 0.027 0.847
0.296 0.811 0.141
0.366 0.536 0.348
0.453 0.965 0.641
0.536 0.366 0.848
0.626 0.123 0.141
0.703 0.860 0.347
0.811 0.296 0.641
0.860 0.703 0.847
0.965 0.453 0.141
```



Entry 6:
For Li2CoO3, a crystal structure in the Materials Project, relaxed with PBE+U gives the theoretical powder XRD pattern in this record (λ = 1.5418 Å (Cu Kα)).
Neutral-atom scattering factors, no anomalous dispersion.

The 10 most intense peaks (2θ = 10–90°), most intense first:
Position (°2θ)	I (rel.)
18.52	100
12.51	45
41.77	40
44.35	32
45.63	28
25.18	27
34.80	24
19.18	18
36.57	12
26.71	12

Structure:
```
Li2CoO3
1.0
2.978 0.000 0.000
0.120 4.999 0.000
1.164 2.106 7.078
Li Co O
4 2 6
Direct
0.000 0.000 0.000
0.163 0.498 0.666
0.500 0.500 0.000
0.837 0.502 0.334
0.344 0.006 0.321
0.656 0.994 0.679
0.061 0.764 0.821
0.274 0.217 0.498
0.404 0.770 0.189
0.596 0.230 0.811
0.726 0.783 0.502
0.939 0.236 0.179
```